# 1
TmNbB3: simulated powder XRD pattern (CuKα), based on the GGA-PBE geometry in Alexandria.
Peak positions follow from Bragg's law for the DFT cell and can differ from measured ones.

Structural model:
Unit cell a=3.562 b=20.140 c=3.198 alpha=90.00 beta=90.00 gamma=90.00
Space group Cmcm (No. 63)
Inequivalent atoms, fractional coordinates:
Tm 0.000 0.072 0.250 x4
Nb 0.000 0.205 0.750 x4
B 0.000 0.332 0.750 x4
B 0.000 0.381 0.250 x4
B 0.000 0.478 0.250 x4

Largest 6 diffraction maxima, sorted by position, 2θ = 10–90°:
- 25.39 deg, d = 3.508 Å, I 456, (1 1 0)
- 33.19 deg, d = 2.699 Å, I 522, (0 4 1)
- 35.66 deg, d = 2.517 Å, I 160, (0 8 0)
- 40.24 deg, d = 2.241 Å, I 1000, (1 7 0)
- 62.48 deg, d = 1.487 Å, I 210, (2 4 1)
- 64.18 deg, d = 1.451 Å, I 159, (1 11 1)

***

# 2
TmNbB: simulated powder XRD pattern (CuKα), based on the GGA-PBE geometry in Alexandria.
Peak positions follow from Bragg's law for the DFT cell and can differ from measured ones.

Structural model:
Unit cell a=5.9141 b=5.9141 c=16.4577 alpha=90.00 beta=90.00 gamma=120.00
Space group R3 (No. 146, hexagonal axes)
Inequivalent atoms, fractional coordinates:
Tm 0.0007 0.6656 0.0000 x9
Nb 0.9999 0.3352 0.5011 x9
B 0.0000 0.0000 0.2332 x3
B 0.0000 0.0000 0.4300 x3
B 0.0000 0.0000 0.8991 x3

Largest 6 diffraction maxima, sorted by position, 2θ = 10–90°:
- 30.22 deg, d = 2.957 Å, I 251, (1 1 0)
- 32.65 deg, d = 2.743 Å, I 237, (0 0 6)
- 34.46 deg, d = 2.603 Å, I 1000, (1 1 3)
- 45.08 deg, d = 2.011 Å, I 202, (1 1 6)
- 59.43 deg, d = 1.555 Å, I 205, (2 -1 9)
- 64.26 deg, d = 1.449 Å, I 202, (3 0 6)

***

# 3
NbV3B: simulated powder XRD pattern (CuKα), based on the GGA-PBE geometry in Alexandria.
Peak positions follow from Bragg's law for the DFT cell and can differ from measured ones.

Structural model:
Unit cell a=6.0558 b=6.0558 c=12.9269 alpha=90.00 beta=90.00 gamma=120.00
Space group R3c (No. 161, hexagonal axes)
Inequivalent atoms, fractional coordinates:
Nb 0.0000 0.0000 0.0000 x6
V 0.0314 0.4916 0.4888 x18
B 0.0000 0.0000 0.2112 x6

Largest 6 diffraction maxima, sorted by position, 2θ = 10–90°:
- 37.00 deg, d = 2.430 Å, I 1000, (2 0 2)
- 41.93 deg, d = 2.154 Å, I 251, (0 0 6)
- 44.49 deg, d = 2.036 Å, I 630, (0 2 4)
- 61.22 deg, d = 1.514 Å, I 200, (2 2 0)
- 68.17 deg, d = 1.376 Å, I 145, (2 0 8)
- 76.98 deg, d = 1.239 Å, I 172, (2 2 6)

***

# 4
NbV5B2: simulated powder XRD pattern (CuKα), based on the GGA-PBE geometry in Alexandria.
Peak positions follow from Bragg's law for the DFT cell and can differ from measured ones.

Structural model:
Unit cell a=3.179 b=7.121 c=8.557 alpha=90.00 beta=90.00 gamma=90.00
Space group Immm (No. 71)
Inequivalent atoms, fractional coordinates:
Nb 0.000 0.000 0.000 x2
V 0.000 0.188 0.339 x8
V 0.000 0.500 0.000 x2
B 0.000 0.500 0.277 x4

Largest 6 diffraction maxima, sorted by position, 2θ = 10–90°:
- 30.80 deg, d = 2.903 Å, I 189, (1 1 0)
- 32.72 deg, d = 2.737 Å, I 539, (0 2 2)
- 33.85 deg, d = 2.648 Å, I 171, (0 1 3)
- 39.42 deg, d = 2.286 Å, I 1000, (1 2 1)
- 42.58 deg, d = 2.123 Å, I 838, (1 0 3)
- 49.72 deg, d = 1.834 Å, I 251, (0 2 4)